# 1
# CsCu2ICl2
Simulated X-ray powder pattern, CuKα. Input: a cell relaxed with GGA-PBE.
Neutral-atom scattering factors, no anomalous dispersion.

Structural model:
Lattice parameters (Å, degrees): 7.762 5.558 8.830 90.00 110.20 90.00
Space group P2_1/m (No. 11)
Asymmetric unit:
Cs: 0.172 0.250 0.366 [2 per cell]
Cu: 0.386 0.504 0.853 [4 per cell]
I: 0.306 0.750 0.082 [2 per cell]
Cl: 0.124 0.250 0.747 [2 per cell]
Cl: 0.369 0.750 0.628 [2 per cell]

Top 10 peaks for 5 to 70 degrees two-theta, in order of rising 2θ:
- 10.7 deg, intensity 36, hkl 0 0 1
- 12.1 deg, intensity 32, hkl 1 0 0
- 13.1 deg, intensity 38, hkl 1 0 -1
- 18.8 deg, intensity 35, hkl 1 0 1
- 20.7 deg, intensity 98, hkl 1 1 -1
- 24.7 deg, intensity 35, hkl 1 1 1
- 26.8 deg, intensity 100, hkl 0 1 2
- 29.3 deg, intensity 78, hkl 2 1 0
- 30.4 deg, intensity 41, hkl 1 0 -3
- 42.1 deg, intensity 68, hkl 2 2 -2


# 2
# Sr2ZnAs2
Simulated X-ray powder pattern, CuKα. Input: a cell relaxed with GGA-PBE.
Neutral-atom scattering factors, no anomalous dispersion.

Structural model:
Lattice parameters (Å, degrees): 4.3803 4.3803 8.5655 90.00 90.00 120.00
Space group P-6m2 (No. 187)
Asymmetric unit:
Sr: 0.0000 0.0000 0.2055 [2 per cell]
Zn: 0.6667 0.3333 0.5000 [1 per cell]
As: 0.3333 0.6667 0.5000 [1 per cell]
As: 0.6667 0.3333 0.0000 [1 per cell]

Top 10 peaks for 5 to 70 degrees two-theta, in order of rising 2θ:
- 23.5 deg, intensity 11, hkl 1 0 0
- 25.7 deg, intensity 29, hkl 1 0 1
- 31.5 deg, intensity 100, hkl 1 0 2
- 39.5 deg, intensity 11, hkl 1 0 3
- 41.2 deg, intensity 53, hkl 1 1 0
- 52.7 deg, intensity 13, hkl 1 1 3
- 52.8 deg, intensity 23, hkl 2 0 2
- 59.2 deg, intensity 11, hkl 1 0 5
- 60.5 deg, intensity 19, hkl 1 1 4
- 69.1 deg, intensity 20, hkl 2 1 2


# 3
# BaC2O4
Simulated X-ray powder pattern, CuKα. Input: a cell relaxed with GGA-PBE.
Neutral-atom scattering factors, no anomalous dispersion.

Structural model:
Lattice parameters (Å, degrees): 6.861 8.482 8.742 90.00 90.00 90.00
Space group P2_12_12_1 (No. 19)
Asymmetric unit:
Ba: 0.041 0.089 0.097 [4 per cell]
C: 0.100 0.926 0.443 [4 per cell]
C: 0.150 0.739 0.870 [4 per cell]
O: 0.011 0.803 0.824 [4 per cell]
O: 0.083 0.424 0.099 [4 per cell]
O: 0.203 0.318 0.411 [4 per cell]
O: 0.228 0.904 0.333 [4 per cell]

Top 10 peaks for 5 to 70 degrees two-theta, in order of rising 2θ:
- 14.6 deg, intensity 34, hkl 0 1 1
- 16.4 deg, intensity 65, hkl 1 0 1
- 19.5 deg, intensity 100, hkl 1 1 1
- 26.4 deg, intensity 73, hkl 1 1 2
- 26.7 deg, intensity 42, hkl 1 2 1
- 33.3 deg, intensity 57, hkl 0 3 1
- 33.4 deg, intensity 53, hkl 1 0 3
- 35.2 deg, intensity 40, hkl 2 2 1
- 40.2 deg, intensity 46, hkl 1 3 2
- 42.7 deg, intensity 33, hkl 2 3 1